1.
Diffraction record for Tb2NdGa2Pt7. The powder X-ray diffraction pattern is computed, not measured: it uses a DFT-relaxed cell (GGA-PBE, Alexandria) and λ = 1.5418 Å (Cu Kα).
Kinematic intensities with the Lorentz-polarization factor, no thermal factor.

Main lines, sorted by position (2θ from 5° to 70°):
d (Å)	I/Imax
14.021	46
2.814	29
2.804	22
2.658	32
2.648	42
2.511	92
2.447	100
2.043	87

Crystal structure
Cell lengths 4.087, 4.087, 14.220 Å; angles 96.81, 96.81, 89.30 degrees
Atoms (fractional coordinates):
Tb: 0.129 0.129 0.359
Tb: 0.871 0.871 0.641
Nd: 0.000 0.000 0.000
Ga: 0.394 0.394 0.738
Ga: 0.606 0.606 0.262
Pt: 0.065 0.565 0.160
Pt: 0.355 0.355 0.565
Pt: 0.435 0.935 0.840
Pt: 0.500 0.500 0.000
Pt: 0.565 0.065 0.160
Pt: 0.645 0.645 0.435
Pt: 0.935 0.435 0.840

2.
Diffraction record for TbNd2Ga2Pt7. The powder X-ray diffraction pattern is computed, not measured: it uses a DFT-relaxed cell (GGA-PBE, Alexandria) and λ = 1.5418 Å (Cu Kα).
Kinematic intensities with the Lorentz-polarization factor, no thermal factor.

Main lines, sorted by position (2θ from 5° to 70°):
d (Å)	I/Imax
14.017	100
2.829	45
2.673	28
2.640	47
2.538	69
2.459	89
2.053	87
2.043	32

Crystal structure
Cell lengths 4.109, 4.109, 14.179 Å; angles 96.16, 96.16, 89.44 degrees
Atoms (fractional coordinates):
Tb: 0.000 0.000 0.000
Nd: 0.116 0.116 0.356
Nd: 0.884 0.884 0.644
Ga: 0.407 0.407 0.746
Ga: 0.593 0.593 0.254
Pt: 0.056 0.556 0.153
Pt: 0.368 0.368 0.570
Pt: 0.444 0.944 0.847
Pt: 0.500 0.500 0.000
Pt: 0.556 0.056 0.153
Pt: 0.632 0.632 0.430
Pt: 0.944 0.444 0.847

3.
Diffraction record for TbNdGaPt. The powder X-ray diffraction pattern is computed, not measured: it uses a DFT-relaxed cell (GGA-PBE, Alexandria) and λ = 1.5418 Å (Cu Kα).
Kinematic intensities with the Lorentz-polarization factor, no thermal factor.

Main lines, sorted by position (2θ from 5° to 70°):
d (Å)	I/Imax
5.645	16
2.826	100
2.717	24
2.371	24
2.307	49
2.184	22
1.963	16
1.728	16

Crystal structure
Cell lengths 4.368, 3.927, 11.291 Å; angles 90.00, 90.00, 90.00 degrees
Atoms (fractional coordinates):
Tb: 0.000 0.000 0.000
Tb: 0.000 0.500 0.500
Nd: 0.500 0.000 0.285
Nd: 0.500 0.500 0.785
Ga: 0.000 0.000 0.709
Ga: 0.000 0.500 0.209
Pt: 0.500 0.000 0.558
Pt: 0.500 0.500 0.058

4.
Diffraction record for Rb3Nd3GaTe8. The powder X-ray diffraction pattern is computed, not measured: it uses a DFT-relaxed cell (GGA-PBE, Alexandria) and λ = 1.5418 Å (Cu Kα).
Kinematic intensities with the Lorentz-polarization factor, no thermal factor.

Main lines, sorted by position (2θ from 5° to 70°):
d (Å)	I/Imax
8.887	38
3.361	100
2.722	19
2.531	32
2.247	36
2.057	13
1.868	18
1.437	10

Crystal structure
Cell lengths 8.987, 8.987, 10.293 Å; angles 115.90, 115.90, 60.04 degrees
Atoms (fractional coordinates):
Rb: 0.000 0.000 0.000
Rb: 0.000 0.500 0.000
Rb: 0.500 0.000 0.000
Nd: 0.000 0.500 0.500
Nd: 0.500 0.000 0.500
Nd: 0.500 0.500 0.500
Ga: 0.000 0.000 0.500
Te: 0.217 0.217 0.690
Te: 0.220 0.753 0.692
Te: 0.247 0.780 0.308
Te: 0.264 0.264 0.293
Te: 0.736 0.736 0.707
Te: 0.753 0.220 0.692
Te: 0.780 0.247 0.308
Te: 0.783 0.783 0.310

5.
Diffraction record for NdGa3Re. The powder X-ray diffraction pattern is computed, not measured: it uses a DFT-relaxed cell (GGA-PBE, Alexandria) and λ = 1.5418 Å (Cu Kα).
Kinematic intensities with the Lorentz-polarization factor, no thermal factor.

Main lines, sorted by position (2θ from 5° to 70°):
d (Å)	I/Imax
4.812	22
3.403	100
2.778	20
2.406	92
1.965	44
1.701	64
1.522	20
1.389	21

Crystal structure
Cell lengths 4.812, 4.812, 4.812 Å; angles 90.00, 90.00, 90.00 degrees
Atoms (fractional coordinates):
Nd: 0.000 0.000 0.000
Ga: 0.000 0.500 0.500
Ga: 0.500 0.000 0.500
Ga: 0.500 0.500 0.000
Re: 0.500 0.500 0.500

6.
Diffraction record for NdGaRe. The powder X-ray diffraction pattern is computed, not measured: it uses a DFT-relaxed cell (GGA-PBE, Alexandria) and λ = 1.5418 Å (Cu Kα).
Kinematic intensities with the Lorentz-polarization factor, no thermal factor.

Main lines, sorted by position (2θ from 5° to 70°):
d (Å)	I/Imax
9.676	100
3.290	50
2.804	66
2.721	58
2.419	30
2.238	30
2.042	45
1.485	21

Crystal structure
Cell lengths 10.270, 9.946, 4.139 Å; angles 82.61, 73.82, 23.56 degrees
Atoms (fractional coordinates):
Nd: 0.112 0.112 0.888
Nd: 0.888 0.888 0.112
Ga: 0.250 0.250 0.250
Ga: 0.750 0.750 0.750
Re: 0.326 0.674 0.326
Re: 0.674 0.326 0.674

7.
Diffraction record for Nd2Ga8Rh. The powder X-ray diffraction pattern is computed, not measured: it uses a DFT-relaxed cell (GGA-PBE, Alexandria) and λ = 1.5418 Å (Cu Kα).
Kinematic intensities with the Lorentz-polarization factor, no thermal factor.

Main lines, sorted by position (2θ from 5° to 70°):
d (Å)	I/Imax
4.377	22
2.870	13
2.720	35
2.400	100
2.281	17
2.188	56
1.579	21
1.547	18

Crystal structure
Cell lengths 4.377, 4.377, 11.404 Å; angles 90.00, 90.00, 90.00 degrees
Atoms (fractional coordinates):
Nd: 0.000 0.000 0.194
Nd: 0.000 0.000 0.806
Ga: 0.000 0.500 0.000
Ga: 0.000 0.500 0.383
Ga: 0.000 0.500 0.617
Ga: 0.500 0.000 0.000
Ga: 0.500 0.000 0.383
Ga: 0.500 0.000 0.617
Ga: 0.500 0.500 0.194
Ga: 0.500 0.500 0.806
Rh: 0.000 0.000 0.500

8.
Diffraction record for Nd5Ga5Rh2. The powder X-ray diffraction pattern is computed, not measured: it uses a DFT-relaxed cell (GGA-PBE, Alexandria) and λ = 1.5418 Å (Cu Kα).
Kinematic intensities with the Lorentz-polarization factor, no thermal factor.

Main lines, sorted by position (2θ from 5° to 70°):
d (Å)	I/Imax
3.337	19
2.822	100
2.662	92
2.609	20
2.384	26
2.351	66
2.254	48
1.721	22

Crystal structure
Cell lengths 7.972, 7.972, 10.897 Å; angles 128.39, 128.39, 32.85 degrees
Atoms (fractional coordinates):
Nd: 0.000 0.000 0.000
Nd: 0.120 0.120 0.427
Nd: 0.194 0.194 0.832
Nd: 0.806 0.806 0.168
Nd: 0.880 0.880 0.573
Ga: 0.258 0.258 0.306
Ga: 0.450 0.450 0.169
Ga: 0.500 0.500 0.500
Ga: 0.550 0.550 0.831
Ga: 0.742 0.742 0.694
Rh: 0.344 0.344 0.739
Rh: 0.656 0.656 0.261